[1]
HoMg12: simulated powder XRD pattern (Cu Kα, 1.54184 Å), based on a crystal structure in Alexandria, relaxed with PBE.

Largest 10 diffraction maxima, by angle, 2θ = 10–90°:
- 2θ = 12.30°, I 62, (1 1 0)
- 2θ = 17.23°, I 53, (1 0 1)
- 2θ = 24.60°, I 73, (2 1 1)
- 2θ = 27.72°, I 31, (3 1 0)
- 2θ = 30.30°, I 60, (3 0 1)
- 2θ = 34.86°, I 64, (2 0 2)
- 2θ = 35.17°, I 100, (3 2 1)
- 2θ = 35.27°, I 41, (4 0 0)
- 2θ = 47.17°, I 22, (4 3 1)
- 2θ = 56.61°, I 25, (3 2 3)

Cell and atoms:
a b c (Å): 10.178 10.178 5.967
angles (deg): 90.00 90.00 90.00
Space group I4/mmm (No. 139)
Symmetry-distinct sites (fractional):
1 Ho 0.000 0.000 0.000 [2 per cell]
2 Mg 0.000 0.211 0.500 [8 per cell]
3 Mg 0.000 0.350 0.000 [8 per cell]
4 Mg 0.250 0.250 0.250 [8 per cell]

***

[2]
Ba2LiIn6Ga: simulated powder XRD pattern (Cu Kα, 1.54184 Å), based on a crystal structure in Alexandria, relaxed with PBE.

Largest 10 diffraction maxima, by angle, 2θ = 10–90°:
- 2θ = 26.70°, I 37, (0 0 12)
- 2θ = 28.28°, I 56, (0 1 11)
- 2θ = 28.59°, I 30, (2 0 2)
- 2θ = 30.40°, I 92, (2 0 5)
- 2θ = 32.35°, I 100, (0 2 7)
- 2θ = 40.91°, I 29, (0 2 13)
- 2θ = 45.11°, I 21, (0 3 6)
- 2θ = 47.86°, I 24, (1 1 18)
- 2θ = 48.18°, I 21, (2 0 17)
- 2θ = 49.97°, I 38, (2 2 0)

Cell and atoms:
a b c (Å): 7.3003 7.3003 40.0676
angles (deg): 90.00 90.00 120.00
Space group R-3m (No. 166, hexagonal axes)
Symmetry-distinct sites (fractional):
1 Ba 0.0000 0.0000 0.1356 [6 per cell]
2 Ba 0.0000 0.0000 0.3082 [6 per cell]
3 Li 0.0000 0.0000 0.0000 [3 per cell]
4 Li 0.0000 0.0000 0.5000 [3 per cell]
5 In 0.0371 0.5186 0.7185 [18 per cell]
6 In 0.0567 0.5284 0.8821 [18 per cell]
7 Ga 0.0000 0.0000 0.4223 [6 per cell]

***

[3]
SmBeB4: simulated powder XRD pattern (Cu Kα, 1.54184 Å), based on a crystal structure in Alexandria, relaxed with PBE.

Largest 10 diffraction maxima, by angle, 2θ = 10–90°:
- 2θ = 15.35°, I 26, (1 1 0)
- 2θ = 18.88°, I 55, (0 2 0)
- 2θ = 24.33°, I 52, (2 0 0)
- 2θ = 25.82°, I 34, (0 0 1)
- 2θ = 31.01°, I 79, (1 3 0)
- 2θ = 32.18°, I 38, (0 2 1)
- 2θ = 35.77°, I 48, (2 0 1)
- 2θ = 40.78°, I 100, (1 3 1)
- 2θ = 57.19°, I 20, (1 5 1)
- 2θ = 62.75°, I 22, (1 3 2)

Cell and atoms:
a b c (Å): 7.316 9.402 3.451
angles (deg): 90.00 90.00 90.00
Space group Cmmm (No. 65)
Symmetry-distinct sites (fractional):
1 Sm 0.000 0.198 0.000 [4 per cell]
2 Be 0.174 0.500 0.000 [4 per cell]
3 B 0.000 0.411 0.500 [4 per cell]
4 B 0.127 0.000 0.500 [4 per cell]
5 B 0.222 0.345 0.500 [8 per cell]

***

[4]
Pr21Fe8Bi7C12: simulated powder XRD pattern (Cu Kα, 1.54184 Å), based on a crystal structure in Alexandria, relaxed with PBE.

Largest 10 diffraction maxima, by angle, 2θ = 10–90°:
- 2θ = 28.35°, I 100, (3 3 3)
- 2θ = 30.93°, I 47, (4 4 0)
- 2θ = 32.38°, I 46, (5 3 1)
- 2θ = 32.85°, I 78, (6 0 0)
- 2θ = 42.45°, I 37, (5 5 3)
- 2θ = 47.15°, I 32, (6 6 0)
- 2θ = 55.01°, I 18, (8 4 4)
- 2θ = 55.94°, I 19, (9 3 3)
- 2θ = 58.36°, I 23, (7 7 3)
- 2θ = 61.01°, I 16, (10 4 0)

Cell and atoms:
a b c (Å): 16.356 16.356 16.356
angles (deg): 90.00 90.00 90.00
Space group Fm-3m (No. 225)
Symmetry-distinct sites (fractional):
1 Pr 0.000 0.000 0.000 [4 per cell]
2 Pr 0.000 0.171 0.329 [48 per cell]
3 Pr 0.137 0.137 0.137 [32 per cell]
4 Fe 0.196 0.196 0.304 [32 per cell]
5 Bi 0.000 0.000 0.211 [24 per cell]
6 Bi 0.000 0.000 0.500 [4 per cell]
7 C 0.109 0.250 0.250 [48 per cell]

***

[5]
HoSi2SbO8: simulated powder XRD pattern (Cu Kα, 1.54184 Å), based on a crystal structure in Alexandria, relaxed with PBE.

Largest 10 diffraction maxima, by angle, 2θ = 10–90°:
- 2θ = 19.74°, I 72, (1 0 1)
- 2θ = 26.29°, I 100, (2 0 0)
- 2θ = 33.09°, I 24, (2 1 1)
- 2θ = 35.24°, I 64, (1 1 2)
- 2θ = 37.52°, I 19, (2 2 0)
- 2θ = 42.75°, I 23, (3 0 1)
- 2θ = 47.30°, I 15, (1 0 3)
- 2θ = 50.88°, I 20, (3 2 1)
- 2θ = 52.42°, I 57, (3 1 2)
- 2θ = 66.24°, I 18, (3 3 2)

Cell and atoms:
a b c (Å): 6.780 6.780 6.012
angles (deg): 90.00 90.00 90.00
Space group I-4m2 (No. 119)
Symmetry-distinct sites (fractional):
1 Ho 0.000 0.000 0.000 [2 per cell]
2 Si 0.000 0.000 0.500 [2 per cell]
3 Si 0.000 0.500 0.250 [2 per cell]
4 Sb 0.000 0.500 0.750 [2 per cell]
5 O 0.000 0.189 0.674 [8 per cell]
6 O 0.000 0.326 0.060 [8 per cell]

***

[6]
NdTm2VN4: simulated powder XRD pattern (Cu Kα, 1.54184 Å), based on a crystal structure in Alexandria, relaxed with PBE.

Largest 10 diffraction maxima, by angle, 2θ = 10–90°:
- 2θ = 27.69°, I 63, (0 2 3)
- 2θ = 30.71°, I 36, (0 4 0)
- 2θ = 30.84°, I 30, (0 0 4)
- 2θ = 31.72°, I 100, (1 1 2)
- 2θ = 36.21°, I 44, (1 3 1)
- 2θ = 38.70°, I 48, (1 3 2)
- 2θ = 48.31°, I 22, (1 1 5)
- 2θ = 50.19°, I 18, (1 5 2)
- 2θ = 53.46°, I 45, (1 3 5)
- 2θ = 62.31°, I 21, (1 7 0)

Cell and atoms:
a b c (Å): 3.360 11.646 11.599
angles (deg): 90.00 90.00 90.00
Space group Cmcm (No. 63)
Symmetry-distinct sites (fractional):
1 Nd 0.000 0.085 0.250 [4 per cell]
2 Tm 0.000 0.371 0.042 [8 per cell]
3 V 0.000 0.174 0.750 [4 per cell]
4 N 0.000 0.000 0.000 [4 per cell]
5 N 0.000 0.263 0.622 [8 per cell]
6 N 0.000 0.422 0.250 [4 per cell]

***

[7]
Ac2MgN: simulated powder XRD pattern (Cu Kα, 1.54184 Å), based on a crystal structure in Alexandria, relaxed with PBE.

Largest 10 diffraction maxima, by angle, 2θ = 10–90°:
- 2θ = 12.65°, I 19, (0 2 0)
- 2θ = 21.07°, I 44, (1 1 1)
- 2θ = 27.80°, I 100, (1 3 1)
- 2θ = 28.43°, I 24, (0 0 2)
- 2θ = 28.67°, I 19, (2 0 0)
- 2θ = 38.55°, I 19, (0 6 0)
- 2θ = 40.82°, I 17, (2 0 2)
- 2θ = 48.75°, I 15, (2 6 0)
- 2θ = 49.95°, I 21, (1 3 3)
- 2θ = 50.25°, I 13, (3 3 1)

Cell and atoms:
a b c (Å): 6.227 14.000 6.279
angles (deg): 90.00 90.00 90.00
Space group Cccm (No. 66)
Symmetry-distinct sites (fractional):
1 Ac 0.212 0.094 0.000 [8 per cell]
2 Mg 0.250 0.250 0.500 [4 per cell]
3 N 0.000 0.000 0.250 [4 per cell]

***

[8]
AcNd15Y4: simulated powder XRD pattern (Cu Kα, 1.54184 Å), based on a crystal structure in Alexandria, relaxed with PBE.

Largest 10 diffraction maxima, by angle, 2θ = 10–90°:
- 2θ = 29.76°, I 100, (1 1 5)
- 2θ = 34.46°, I 34, (2 0 0)
- 2θ = 34.58°, I 16, (0 0 10)
- 2θ = 49.59°, I 36, (2 2 0)
- 2θ = 58.86°, I 29, (3 1 5)
- 2θ = 59.02°, I 13, (1 1 15)
- 2θ = 61.82°, I 12, (2 2 10)
- 2θ = 80.44°, I 6, (3 3 5)
- 2θ = 80.58°, I 11, (3 1 15)
- 2θ = 82.96°, I 5, (4 2 0)

Cell and atoms:
a b c (Å): 5.205 5.205 25.936
angles (deg): 90.00 90.00 90.00
Space group P4/mmm (No. 123)
Symmetry-distinct sites (fractional):
1 Ac 0.000 0.000 0.000 [1 per cell]
2 Nd 0.000 0.500 0.105 [4 per cell]
3 Nd 0.000 0.500 0.302 [4 per cell]
4 Nd 0.000 0.500 0.500 [2 per cell]
5 Nd 0.500 0.500 0.000 [1 per cell]
6 Nd 0.500 0.500 0.205 [2 per cell]
7 Nd 0.500 0.500 0.401 [2 per cell]
8 Y 0.000 0.000 0.204 [2 per cell]
9 Y 0.000 0.000 0.401 [2 per cell]